(1)
Computed X-ray powder pattern
Compound: Na2ZrZnP2SO12
Radiation: Cu Kα (weighted mean of Kα1 and Kα2)
Structure: the GGA-PBE geometry in the Materials Project
No peak broadening, texture or thermal motion is included.

Most intense lines, 2θ from 10° to 90°, in order of rising 2θ:
(1 1 -1), 2θ 13.82, I 41; (1 1 1), 2θ 19.24, I 48; (2 0 -2), 2θ 19.43, I 31; (0 2 0), 2θ 19.75, I 24; (3 1 -1), 2θ 19.92, I 56; (0 2 1), 2θ 23.00, I 71; (3 1 -2), 2θ 23.20, I 32; (2 2 -2), 2θ 27.84, I 48; (0 2 2), 2θ 30.76, I 100; (3 1 -3), 2θ 31.00, I 50; (3 3 -1), 2θ 34.67, I 48; (1 3 3), 2θ 50.51, I 21

Structural model:
```
data_Na2ZrZnP2SO12
_chemical_formula_sum 'Na8 Zr4 Zn4 P8 S4 O48'
_symmetry_space_group_name_H-M 'C 1 c 1'
_symmetry_Int_Tables_number 9
_symmetry_space_group_name_Hall 'C -2yc'
_cell_length_a 15.4005
_cell_length_b 8.9894
_cell_length_c 9.1478
_cell_angle_alpha 90.00
_cell_angle_beta 123.59
_cell_angle_gamma 90.00
loop_
_atom_site_label
_atom_site_fract_x
_atom_site_fract_y
_atom_site_fract_z
Na1 0.0000 0.0730 0.0000
Na2 0.4215 0.2391 0.7431
Zr1 0.0970 0.2480 0.7142
Zn1 0.2888 0.2473 0.3142
P1 0.1991 0.0430 0.5229
P2 0.3452 0.4022 0.0340
S1 0.0467 0.3967 0.0228
O1 0.0422 0.4380 0.5348
O2 0.0476 0.3675 0.8624
O3 0.1155 0.1372 0.5353
O4 0.1247 0.0548 0.8535
O5 0.1395 0.3340 0.1793
O6 0.2427 0.3342 0.8715
O7 0.2591 0.0551 0.1828
O8 0.2681 0.1473 0.5000
O9 0.3507 0.3711 0.2030
O10 0.3542 0.4307 0.5113
O11 0.4386 0.3237 0.0382
O12 0.4546 0.1726 0.5055
```


(2)
Computed X-ray powder pattern
Compound: Na3Sb3P2O14
Radiation: Cu Kα (weighted mean of Kα1 and Kα2)
Structure: the GGA-PBE geometry in the Materials Project
No peak broadening, texture or thermal motion is included.

Most intense lines, 2θ from 10° to 90°, in order of rising 2θ:
(0 1 1), 2θ 14.17, I 25; (1 0 0), 2θ 14.57, I 100; (1 1 -1), 2θ 18.65, I 19; (0 2 0), 2θ 24.30, I 21; (0 2 2), 2θ 28.57, I 75; (1 0 -4), 2θ 28.91, I 38; (2 0 0), 2θ 29.38, I 43; (0 0 4), 2θ 29.86, I 22; (1 2 -2), 2θ 29.98, I 42; (1 2 2), 2θ 34.32, I 25; (2 2 -2), 2θ 37.82, I 25; (0 2 6), 2θ 52.19, I 28

Structural model:
```
data_Na3Sb3P2O14
_chemical_formula_sum 'Na6 Sb6 P4 O28'
_symmetry_space_group_name_H-M 'P 1 21/c 1'
_symmetry_Int_Tables_number 14
_symmetry_space_group_name_Hall '-P 2ybc'
_cell_length_a 6.3918
_cell_length_b 7.3259
_cell_length_c 12.5830
_cell_angle_alpha 90.00
_cell_angle_beta 107.97
_cell_angle_gamma 90.00
loop_
_atom_site_label
_atom_site_fract_x
_atom_site_fract_y
_atom_site_fract_z
Na1 0.0000 0.0000 0.0000
Na2 0.4725 0.2060 0.0676
Sb1 0.0000 0.0000 0.5000
Sb2 0.0287 0.2414 0.2572
P1 0.4143 0.7337 0.1614
O1 0.0332 0.7022 0.9029
O2 0.0680 0.0029 0.8055
O3 0.1187 0.1893 0.4214
O4 0.2969 0.7301 0.7523
O5 0.3214 0.5489 0.0984
O6 0.3457 0.1912 0.2638
O7 0.3925 0.6101 0.5808
```